Structure and simulated X-ray powder pattern of LaSm3Ag (a cell relaxed with PBE; CuKα).

Most intense lines, 2θ from 15° to 90°, in order of rising 2θ:
- 2θ 25.84, I 20, (2 2 -1)
- 2θ 26.71, I 39, (0 0 2)
- 2θ 27.64, I 23, (2 2 0)
- 2θ 30.59, I 97, (2 2 -2)
- 2θ 30.69, I 60, (4 0 -1)
- 2θ 33.44, I 30, (1 3 -1)
- 2θ 35.10, I 100, (2 2 1)
- 2θ 40.56, I 19, (0 0 3)
- 2θ 49.79, I 24, (5 3 -2)
- 2θ 51.52, I 23, (2 2 -4)

```
data_LaSm3Ag
_chemical_formula_sum 'La4 Sm12 Ag4'
_symmetry_space_group_name_H-M 'C 1 2/m 1'
_symmetry_Int_Tables_number 12
_symmetry_space_group_name_Hall '-C 2y'
_cell_length_a 11.9782
_cell_length_b 8.5292
_cell_length_c 8.0958
_cell_angle_alpha 90.00
_cell_angle_beta 124.46
_cell_angle_gamma 90.00
loop_
_atom_site_label
_atom_site_type_symbol
_atom_site_fract_x
_atom_site_fract_y
_atom_site_fract_z
La1 La 0.0499 0.0000 0.3013
Sm1 Sm 0.0807 0.5000 0.2697
Sm2 Sm 0.1801 0.2977 0.7028
Ag1 Ag 0.2285 0.5000 0.0589
```